(1)
Li2TeSe3: simulated powder diffraction line list (Cu Kα (λ = 1.5418 Å)), based on DFT lattice parameters and positions (PBE).

Principal peaks in the range 2θ from 15° to 90°, by angle:
(hkl)	d_spacing	I (rel.)
0 2 1	4.899	36
1 1 -1	4.406	29
1 0 -2	3.401	17
1 0 2	3.273	27
0 3 2	2.897	100
2 0 0	2.793	52
2 3 -2	2.042	30
0 6 0	2.023	20
2 3 2	1.982	40
2 6 0	1.639	19

Structural model:
Cell lengths 5.5917, 12.1388, 8.3078 Å; angles 90.00, 92.43, 90.00 degrees
Space group P2_1/c (No. 14)
Asymmetric unit:
Li 0.2381 0.2251 0.1497 [4 per cell]
Li 0.2612 0.5897 0.1329 [4 per cell]
Te 0.2172 0.5860 0.6859 [4 per cell]
Se 0.2405 0.0954 0.8736 [4 per cell]
Se 0.2450 0.0758 0.3787 [4 per cell]
Se 0.2693 0.7487 0.8828 [4 per cell]


(2)
NaAlC: simulated powder diffraction line list (Cu Kα (λ = 1.5418 Å)), based on DFT lattice parameters and positions (PBE).

Principal peaks in the range 2θ from 15° to 90°, by angle:
(hkl)	d_spacing	I (rel.)
0 1 0	5.868	95
1 0 -1	3.009	38
1 -1 0	2.989	43
0 0 2	2.974	94
1 0 0	2.930	37
0 2 -1	2.923	77
0 2 1	2.412	100
1 0 1	2.359	80
-1 1 2	2.337	48
1 1 -2	2.258	36

Structural model:
Cell lengths 3.1586, 6.2199, 6.3247 Å; angles 99.53, 104.45, 103.71 degrees
Space group P1 (No. 1)
Asymmetric unit:
Na 0.0000 0.0000 0.0000 [1 per cell]
Na 0.4738 0.3505 0.5488 [1 per cell]
Al 0.1592 0.8229 0.4985 [1 per cell]
Al 0.8181 0.5036 0.1118 [1 per cell]
C 0.2239 0.6813 0.7539 [1 per cell]
C 0.2712 0.5974 0.9289 [1 per cell]


(3)
CoAsP: simulated powder diffraction line list (Cu Kα (λ = 1.5418 Å)), based on DFT lattice parameters and positions (PBE).

Principal peaks in the range 2θ from 15° to 90°, by angle:
(hkl)	d_spacing	I (rel.)
0 2 0	2.858	43
0 0 2	2.624	56
2 0 0	2.595	64
1 2 -1	2.466	100
0 1 2	2.385	58
2 1 0	2.363	61
1 1 -3	1.826	41
3 1 -1	1.806	48
1 3 -1	1.775	45
1 3 1	1.622	56

Structural model:
Cell lengths 5.7445, 5.7160, 5.8089 Å; angles 90.00, 115.37, 90.00 degrees
Space group P2_1 (No. 4)
Asymmetric unit:
Co 0.2190 0.0000 0.4731 [2 per cell]
Co 0.2378 0.5017 0.9537 [2 per cell]
As 0.1604 0.8748 0.0702 [2 per cell]
As 0.3424 0.3750 0.3853 [2 per cell]
P 0.1565 0.6400 0.5740 [2 per cell]
P 0.3472 0.1366 0.8790 [2 per cell]


(4)
BaTc4Ir: simulated powder diffraction line list (Cu Kα (λ = 1.5418 Å)), based on DFT lattice parameters and positions (PBE).

Principal peaks in the range 2θ from 15° to 90°, by angle:
(hkl)	d_spacing	I (rel.)
1 1 1	4.372	2
2 2 0	2.677	44
3 1 1	2.283	100
2 2 2	2.186	26
4 2 2	1.546	17
3 3 3	1.457	32
4 4 0	1.339	25
6 2 0	1.197	7
5 3 3	1.155	11
6 2 2	1.142	9

Structural model:
Cell lengths 7.5723, 7.5723, 7.5723 Å; angles 90.00, 90.00, 90.00 degrees
Space group F-43m (No. 216)
Asymmetric unit:
Ba 0.0000 0.0000 0.0000 [4 per cell]
Tc 0.1234 0.1234 0.3766 [16 per cell]
Ir 0.2500 0.2500 0.7500 [4 per cell]


(5)
Sr2LiIn12: simulated powder diffraction line list (Cu Kα (λ = 1.5418 Å)), based on DFT lattice parameters and positions (PBE).

Principal peaks in the range 2θ from 15° to 90°, by angle:
(hkl)	d_spacing	I (rel.)
1 1 4	3.275	21
2 0 2	3.224	100
2 1 2	2.923	18
2 1 3	2.740	24
2 1 4	2.534	20
1 1 6	2.518	39
2 2 0	2.450	57
2 0 6	2.239	54
3 1 8	1.553	16
3 3 6	1.427	23

Structural model:
Cell lengths 6.9282, 6.9282, 17.6107 Å; angles 90.00, 90.00, 90.00 degrees
Space group P4/nbm (No. 125, origin choice 2)
Asymmetric unit:
Sr 0.2500 0.7500 0.2460 [4 per cell]
Li 0.2500 0.7500 0.0000 [2 per cell]
In 0.0001 0.9999 0.0847 [8 per cell]
In 0.0833 0.5833 0.4302 [8 per cell]
In 0.2500 0.2500 0.1824 [4 per cell]
In 0.2500 0.2500 0.3431 [4 per cell]


(6)
Rb5Ho2I12: simulated powder diffraction line list (Cu Kα (λ = 1.5418 Å)), based on DFT lattice parameters and positions (PBE).

Principal peaks in the range 2θ from 15° to 90°, by angle:
(hkl)	d_spacing	I (rel.)
0 0 2	5.678	23
3 1 0	5.218	20
2 2 -2	3.477	56
0 2 2	3.458	68
6 0 0	3.255	100
2 0 -4	2.991	37
2 2 -3	2.938	20
0 4 0	2.180	31
6 2 2	2.172	20
6 4 0	1.811	20

Structural model:
Cell lengths 20.5872, 8.7199, 11.9665 Å; angles 90.00, 108.37, 90.00 degrees
Space group C2/m (No. 12)
Asymmetric unit:
Rb 0.0000 0.0000 0.0000 [2 per cell]
Rb 0.1911 0.5000 0.3398 [4 per cell]
Rb 0.2047 0.5000 0.8551 [4 per cell]
Ho 0.0000 0.2501 0.5000 [4 per cell]
I 0.0049 0.5000 0.6839 [4 per cell]
I 0.0057 0.0000 0.6808 [4 per cell]
I 0.1452 0.2687 0.0678 [8 per cell]
I 0.1524 0.2533 0.5718 [8 per cell]